Entry 1:
This entry pairs a crystal structure of Zr5InPb3 with its theoretical X-ray powder pattern. Radiation: Cu Ka. Structure: a crystal structure in the Materials Project, relaxed with PBE.
No peak broadening, texture or thermal motion is included.

Principal peaks in the range 10 to 80 degrees two-theta, sorted by position:
two_theta, I_rel
24.7, 34
33.9, 63
34.6, 98
35.9, 100
44.6, 34
50.7, 24

```
18
Lattice="8.9828 0.0000 0.0000 -4.4914 7.7793 0.0000 0.0000 0.0000 6.0292" Properties=species:S:1:pos:R:3 pbc="T T T"
Zr -1.2537 2.1715 1.5073
Zr -3.2377 5.6078 4.5219
Zr 2.5074 0.0000 1.5073
Zr 1.2537 2.1715 4.5219
Zr 0.0000 5.1862 0.0000
Zr 0.0000 5.1862 3.0146
Zr 4.4914 2.5931 0.0000
Zr 4.4914 2.5931 3.0146
Zr 6.4753 0.0000 4.5219
Zr 3.2377 5.6078 1.5073
In 0.0000 0.0000 0.0000
In 0.0000 0.0000 3.0146
Pb -1.7190 2.9774 4.5219
Pb -2.7724 4.8019 1.5073
Pb 3.4381 0.0000 4.5219
Pb 1.7190 2.9774 1.5073
Pb 5.5447 0.0000 1.5073
Pb 2.7724 4.8019 4.5219
```



Entry 2:
This entry pairs a crystal structure of CrGa3Co2Se8 with its theoretical X-ray powder pattern. Radiation: Cu Ka. Structure: a crystal structure in the Materials Project, relaxed with PBE.
No peak broadening, texture or thermal motion is included.

Principal peaks in the range 10 to 80 degrees two-theta, sorted by position:
two_theta, I_rel
20.6, 69
27.6, 68
31.8, 54
33.0, 61
47.9, 82
48.6, 100

```
14
Lattice="12.9532 -1.8882 0.0000 12.9532 1.8882 0.0000 -0.5325 0.0000 6.5720" Properties=species:S:1:pos:R:3 pbc="T T T"
Cr 0.0000 0.0000 0.0000
Ga 9.0071 0.0000 0.7292
Ga 12.7294 0.0000 3.2626
Ga 21.6865 0.0000 4.0528
Co 4.9432 0.0000 4.8025
Co 18.1599 0.0000 1.5463
Se 0.7526 0.0000 4.4573
Se 4.5392 0.0000 0.3453
Se 7.2356 0.0000 5.0120
Se 10.2905 0.0000 3.0630
Se 13.9582 0.0000 1.1598
Se 17.2233 0.0000 3.6585
Se 20.4857 0.0000 1.7387
Se 22.9653 0.0000 6.3442
```